[1]
# Ag3TeSe3
Simulated powder diffractogram, CuKα. Input: a DFT-relaxed cell (GGA-PBE, Alexandria).

Largest 10 diffraction maxima, by intensity, 2θ = 10–90°:
2theta	I/Imax	h k l
25.8	100	1 0 -4
31.0	73	1 2 1
39.7	70	3 1 -1
25.3	70	1 1 3
19.3	57	1 1 1
33.3	55	2 0 -4
44.5	53	1 3 1
40.4	50	0 2 5
49.8	49	3 1 5
38.9	48	2 2 -2

Structure:
```
Ag3TeSe3
1.0
7.3459 0.0000 0.0000
0.0000 6.4245 0.0000
-0.2490 0.0000 15.5369
Ag Te Se
12 4 12
direct
0.0220 0.0791 0.3473
0.0220 0.4209 0.8473
0.2911 0.6807 0.7144
0.2911 0.8193 0.2144
0.3637 0.0195 0.5918
0.3637 0.4805 0.0918
0.6363 0.5195 0.9082
0.6363 0.9805 0.4082
0.7089 0.1807 0.7856
0.7089 0.3193 0.2856
0.9780 0.5791 0.1527
0.9780 0.9209 0.6527
0.1304 0.0174 0.9277
0.1304 0.4826 0.4277
0.8696 0.5174 0.5723
0.8696 0.9826 0.0723
0.1366 0.1707 0.1796
0.1366 0.3293 0.6796
0.2732 0.6244 0.9425
0.2732 0.8756 0.4425
0.3622 0.0575 0.7624
0.3622 0.4425 0.2624
0.6378 0.5575 0.7376
0.6378 0.9425 0.2376
0.7268 0.1244 0.5575
0.7268 0.3756 0.0575
0.8634 0.6707 0.3204
0.8634 0.8293 0.8204
```

[2]
# Mn3Fe9C4
Simulated powder diffractogram, CuKα. Input: a DFT-relaxed cell (GGA-PBE, Alexandria).

Largest 10 diffraction maxima, by intensity, 2θ = 10–90°:
2theta	I/Imax	h k l
44.4	100	1 0 3
45.9	67	1 0 -3
45.1	48	0 2 -2
49.2	25	1 2 2
43.8	24	-1 2 1
38.3	23	0 2 1
47.0	22	-2 1 1
40.3	21	2 0 0
50.2	18	-1 2 2
49.6	18	1 1 -3

Structure:
```
Mn3Fe9C4
1.0
4.4760 0.0000 0.0000
0.0036 5.0165 0.0000
0.2688 0.0072 6.7365
Mn Fe C
3 9 4
direct
0.0000 0.0000 0.0000
0.1655 0.5039 0.6241
0.6689 0.6437 0.4908
0.9996 0.9941 0.6338
0.1598 0.4921 0.9894
0.1669 0.7792 0.3097
0.4934 0.8561 0.8119
0.4981 0.1452 0.1371
0.5004 0.1388 0.5026
0.6558 0.6359 0.1251
0.6676 0.3573 0.8117
0.9913 0.2828 0.3145
0.2669 0.1983 0.8048
0.3928 0.4403 0.3248
0.7681 0.9390 0.3001
0.8950 0.6992 0.8219
```